The following is a theoretical XRD peak list of Bi2Pd3S2. It was derived from a GGA-PBE-relaxed structure, using Cu Kα.
Peak positions follow from Bragg's law for the DFT cell and can differ from measured ones.

The 10 most intense peaks (10 to 80 degrees two-theta), in order of rising 2θ:
14.68 deg, I 71
21.05 deg, I 51
29.63 deg, I 70
29.83 deg, I 26
29.94 deg, I 54
36.56 deg, I 96
36.78 deg, I 100
42.08 deg, I 42
42.79 deg, I 43
42.92 deg, I 42

Cell and atoms:
Cell lengths 7.332, 7.332, 8.428 Å; angles 124.73, 124.73, 70.41 degrees
Fractional coordinates of all 14 atoms:
Bi 0.226 0.226 0.220
Bi 0.252 0.252 0.759
Bi 0.748 0.748 0.241
Bi 0.774 0.774 0.780
Pd 0.000 0.500 0.000
Pd 0.027 0.027 0.302
Pd 0.277 0.723 0.000
Pd 0.500 0.000 0.000
Pd 0.723 0.277 0.000
Pd 0.973 0.973 0.698
S 0.256 0.698 0.697
S 0.302 0.744 0.303
S 0.698 0.256 0.697
S 0.744 0.302 0.303